Record 1
Diffraction record for Cu7Te4. The powder diffractogram is theoretical, not measured: it uses the GGA-PBE geometry in Alexandria and CuKα.
Peak positions follow from Bragg's law for the DFT cell and can differ from measured ones.

Atomic structure:
```
22
Lattice="7.811 0.000 0.000 -3.905 6.764 0.000 0.000 0.000 7.742" Properties=species:S:1:pos:R:3 pbc="T T T"
Cu 0.000 0.000 0.000
Cu -1.497 3.645 2.262
Cu 1.314 0.759 2.138
Cu 1.643 0.948 6.051
Cu 0.000 4.509 6.006
Cu 1.497 3.645 2.262
Cu 0.000 6.238 2.262
Cu 3.905 0.677 4.612
Cu 2.539 3.044 4.612
Cu 6.168 0.948 6.051
Cu 3.905 4.867 6.051
Cu 6.496 0.759 2.138
Cu 3.905 5.247 2.138
Cu 5.272 3.044 4.612
Te 0.000 2.214 4.201
Te -1.988 5.657 4.201
Te 0.000 2.503 0.283
Te -1.738 5.513 0.283
Te 1.738 5.513 0.283
Te 3.905 2.255 2.331
Te 3.905 2.255 6.736
Te 1.988 5.657 4.201
```

The 10 most intense peaks (5 to 70 degrees two-theta), sorted by position:
hkl	2θ/deg	intensity
2 0 0	26.35	43.5
0 1 2	26.53	21.6
1 1 2	32.57	21.3
2 0 2	35.24	82.6
2 1 1	37.03	28.9
1 2 2	42.37	100.0
2 2 0	46.51	47.0
0 0 4	46.95	20.8
4 0 0	54.28	20.1
2 2 4	68.23	19.1

Record 2
Diffraction record for Cu3Te5. The powder diffractogram is theoretical, not measured: it uses the GGA-PBE geometry in Alexandria and CuKα.
Peak positions follow from Bragg's law for the DFT cell and can differ from measured ones.

Atomic structure:
```
16
Lattice="6.264 0.000 0.000 0.000 8.644 0.000 -3.120 0.000 7.985" Properties=species:S:1:pos:R:3 pbc="T T T"
Cu -0.135 2.161 1.125
Cu -0.093 6.483 3.990
Cu -0.112 2.161 6.873
Cu 3.256 6.483 1.111
Cu 3.236 2.161 3.995
Cu 3.278 6.483 6.860
Te -1.546 0.005 6.253
Te -1.546 4.318 6.253
Te -0.457 2.161 3.983
Te 0.672 6.483 1.506
Te 2.452 2.161 1.521
Te 0.691 6.483 6.463
Te 2.471 2.161 6.479
Te 3.601 6.483 4.002
Te 4.689 4.327 1.732
Te 4.689 8.640 1.732
```

The 10 most intense peaks (5 to 70 degrees two-theta), sorted by position:
hkl	2θ/deg	intensity
1 0 -1	15.19	29.2
0 2 0	20.55	41.7
1 2 -1	25.66	26.3
1 2 1	30.22	100.0
2 1 -1	30.35	37.5
0 0 3	33.67	50.5
2 2 -1	35.39	62.6
0 4 0	41.80	40.3
2 2 2	49.65	28.8
0 4 3	54.71	25.1

Record 3
Diffraction record for Cu3Te. The powder diffractogram is theoretical, not measured: it uses the GGA-PBE geometry in Alexandria and CuKα.
Peak positions follow from Bragg's law for the DFT cell and can differ from measured ones.

Atomic structure:
```
8
Lattice="5.966 0.000 0.000 -2.983 5.166 0.000 0.000 0.000 4.165" Properties=species:S:1:pos:R:3 pbc="T T T"
Cu 0.000 1.474 1.041
Cu -1.706 4.429 1.041
Cu 1.277 0.737 3.124
Cu 1.706 4.429 1.041
Cu 4.689 0.737 3.124
Cu 2.983 3.692 3.124
Te 0.000 3.444 3.124
Te 2.983 1.722 1.041
```

The 10 most intense peaks (5 to 70 degrees two-theta), sorted by position:
hkl	2θ/deg	intensity
1 0 1	27.51	17.7
1 1 0	29.96	7.5
2 0 0	34.73	26.2
2 0 1	41.12	100.0
0 0 2	43.45	21.0
2 1 0	46.51	8.8
2 0 2	56.78	12.0
2 2 0	62.25	14.6
2 1 2	65.53	6.1
3 1 1	69.35	6.6